(1)
# CeTh2NiN4
Simulated powder diffraction line list, a wavelength of 1.5418 Å. Input: DFT lattice parameters and positions (PBE).
No peak broadening, texture or thermal motion is included.

Structure:
```
CeTh2NiN4
1.0
1.7691 -5.8151 0.0000
1.7691 5.8151 0.0000
0.0000 0.0000 11.9053
Ce Th Ni N
2 4 2 8
Direct
0.1072 0.8928 0.7500
0.8928 0.1072 0.2500
0.3688 0.6312 0.5625
0.3688 0.6312 0.9375
0.6312 0.3688 0.0625
0.6312 0.3688 0.4375
0.1627 0.8373 0.2500
0.8373 0.1627 0.7500
0.0000 0.0000 0.0000
0.0000 0.0000 0.5000
0.2751 0.7249 0.1227
0.2751 0.7249 0.3773
0.4613 0.5387 0.7500
0.5387 0.4613 0.2500
0.7249 0.2751 0.6227
0.7249 0.2751 0.8773
```

Principal peaks in the range 2θ from 10° to 80°, by angle:
| 2theta | intensity |
| --- | --- |
| 27.2 | 100 |
| 30.4 | 73 |
| 30.8 | 51 |
| 34.8 | 29 |
| 35.2 | 29 |
| 37.6 | 61 |

***

(2)
# LiH5Pd4
Simulated powder diffraction line list, a wavelength of 1.5418 Å. Input: DFT lattice parameters and positions (PBE).
No peak broadening, texture or thermal motion is included.

Structure:
```
LiH5Pd4
1.0
2.8908 0.0000 0.0000
-1.4436 4.8454 0.0000
-1.4365 -1.1549 6.1379
Li H Pd
1 5 4
Direct
0.0000 0.0000 0.0000
0.0906 0.9110 0.3068
0.2557 0.6410 0.8789
0.5000 0.5000 0.5000
0.7443 0.3590 0.1211
0.9094 0.0890 0.6932
0.1989 0.7940 0.6148
0.4069 0.6259 0.1948
0.5931 0.3741 0.8052
0.8011 0.2060 0.3852
```

Principal peaks in the range 2θ from 10° to 80°, by angle:
| 2theta | intensity |
| --- | --- |
| 14.4 | 22 |
| 37.7 | 62 |
| 37.9 | 49 |
| 38.3 | 100 |
| 43.9 | 71 |
| 44.9 | 32 |

***

(3)
# Tm3Ge3Pd2
Simulated powder diffraction line list, a wavelength of 1.5418 Å. Input: DFT lattice parameters and positions (PBE).
No peak broadening, texture or thermal motion is included.

Structure:
```
Tm3Ge3Pd2
1.0
2.1501 -5.2167 0.0000
2.1501 5.2167 0.0000
0.0000 0.0000 14.2260
Tm Ge Pd
6 6 4
Direct
0.0868 0.9132 0.6098
0.0868 0.9132 0.8902
0.3602 0.6398 0.7500
0.6398 0.3602 0.2500
0.9132 0.0868 0.1098
0.9132 0.0868 0.3902
0.3510 0.6490 0.2500
0.3890 0.6110 0.5385
0.3890 0.6110 0.9615
0.6110 0.3890 0.0385
0.6110 0.3890 0.4615
0.6490 0.3510 0.7500
0.2034 0.7966 0.1014
0.2034 0.7966 0.3986
0.7966 0.2034 0.6014
0.7966 0.2034 0.8986
```

Principal peaks in the range 2θ from 10° to 80°, by angle:
| 2theta | intensity |
| --- | --- |
| 33.8 | 100 |
| 34.4 | 12 |
| 37.9 | 14 |
| 38.3 | 34 |
| 42.0 | 50 |
| 71.5 | 11 |

***

(4)
# Rb2In2As
Simulated powder diffraction line list, a wavelength of 1.5418 Å. Input: DFT lattice parameters and positions (PBE).
No peak broadening, texture or thermal motion is included.

Structure:
```
Rb2In2As
1.0
7.6844 0.0000 0.0000
0.0000 7.6844 0.0000
0.0000 0.0000 6.1232
Rb In As
4 4 2
Direct
0.1870 0.3130 0.0000
0.3130 0.8130 0.0000
0.6870 0.1870 0.0000
0.8130 0.6870 0.0000
0.1350 0.6350 0.5000
0.3650 0.1350 0.5000
0.6350 0.8650 0.5000
0.8650 0.3650 0.5000
0.0000 0.0000 0.5000
0.5000 0.5000 0.5000
```

Principal peaks in the range 2θ from 10° to 80°, by angle:
| 2theta | intensity |
| --- | --- |
| 27.4 | 22 |
| 29.2 | 38 |
| 29.8 | 100 |
| 37.0 | 24 |
| 47.8 | 23 |
| 52.1 | 20 |

***

(5)
# Ho2PaOs2
Simulated powder diffraction line list, a wavelength of 1.5418 Å. Input: DFT lattice parameters and positions (PBE).
No peak broadening, texture or thermal motion is included.

Structure:
```
Ho2PaOs2
1.0
4.9704 -2.9021 0.0000
4.9704 2.9021 0.0000
-1.6547 0.0000 7.8776
Ho Pa Os
4 2 4
Direct
0.0114 0.2875 0.1498
0.2875 0.0114 0.6498
0.7125 0.9886 0.3502
0.9886 0.7125 0.8502
0.3564 0.6436 0.2500
0.6436 0.3564 0.7500
0.2283 0.5029 0.4921
0.4971 0.7717 0.0079
0.5029 0.2283 0.9921
0.7717 0.4971 0.5079
```

Principal peaks in the range 2θ from 10° to 80°, by angle:
| 2theta | intensity |
| --- | --- |
| 32.0 | 51 |
| 32.9 | 72 |
| 35.6 | 100 |
| 37.0 | 92 |
| 39.0 | 86 |
| 39.3 | 43 |

***

(6)
# InSbTe2
Simulated powder diffraction line list, a wavelength of 1.5418 Å. Input: DFT lattice parameters and positions (PBE).
No peak broadening, texture or thermal motion is included.

Structure:
```
InSbTe2
1.0
4.4767 0.0000 0.0000
0.0000 4.5391 0.0000
-2.1992 0.0000 12.7086
In Sb Te
2 2 4
Direct
0.0658 0.2500 0.1249
0.9342 0.7500 0.8751
0.3216 0.2500 0.6417
0.6784 0.7500 0.3583
0.1901 0.2500 0.3764
0.4308 0.2500 0.8674
0.5692 0.7500 0.1326
0.8099 0.7500 0.6236
```

Principal peaks in the range 2θ from 10° to 80°, by angle:
| 2theta | intensity |
| --- | --- |
| 28.1 | 56 |
| 28.2 | 100 |
| 37.5 | 43 |
| 39.7 | 23 |
| 40.3 | 22 |
| 49.3 | 23 |

***

(7)
# Ac3ZnGe6Au2
Simulated powder diffraction line list, a wavelength of 1.5418 Å. Input: DFT lattice parameters and positions (PBE).
No peak broadening, texture or thermal motion is included.

Structure:
```
Ac3ZnGe6Au2
1.0
6.2421 0.0000 0.0000
-3.1210 5.4058 0.0000
0.0000 0.0000 8.8800
Ac Zn Ge Au
3 1 6 2
Direct
0.0000 0.0000 0.0000
0.3333 0.6667 0.6414
0.6667 0.3333 0.3586
0.0000 0.0000 0.5000
0.1952 0.3904 0.2899
0.1952 0.8048 0.2899
0.3904 0.1952 0.7101
0.6096 0.8048 0.2899
0.8048 0.1952 0.7101
0.8048 0.6096 0.7101
0.3333 0.6667 0.0099
0.6667 0.3333 0.9901
```

Principal peaks in the range 2θ from 10° to 80°, by angle:
| 2theta | intensity |
| --- | --- |
| 28.6 | 100 |
| 30.2 | 43 |
| 34.7 | 45 |
| 35.1 | 54 |
| 39.0 | 37 |
| 42.1 | 51 |

***

(8)
# PrY5Er12
Simulated powder diffraction line list, a wavelength of 1.5418 Å. Input: DFT lattice parameters and positions (PBE).
No peak broadening, texture or thermal motion is included.

Structure:
```
PrY5Er12
1.0
7.4985 -7.5136 0.0000
7.4985 7.5136 0.0000
0.0000 0.0000 4.9996
Pr Y Er
1 5 12
Direct
0.0000 0.0000 0.0000
0.1678 0.8322 0.5000
0.3338 0.6662 0.0000
0.5000 0.5000 0.5000
0.6662 0.3338 0.0000
0.8322 0.1678 0.5000
0.0012 0.3359 0.0000
0.1660 0.4986 0.5000
0.1689 0.1689 0.5000
0.3322 0.3322 0.0000
0.3359 0.0012 0.0000
0.4986 0.1660 0.5000
0.5014 0.8340 0.5000
0.6641 0.9988 0.0000
0.6678 0.6678 0.0000
0.8311 0.8311 0.5000
0.8340 0.5014 0.5000
0.9988 0.6641 0.0000
```

Principal peaks in the range 2θ from 10° to 80°, by angle:
| 2theta | intensity |
| --- | --- |
| 11.8 | 6 |
| 31.0 | 100 |
| 35.9 | 50 |
| 51.7 | 36 |
| 61.5 | 42 |
| 64.5 | 12 |

***

(9)
# Mg6AlSnO8
Simulated powder diffraction line list, a wavelength of 1.5418 Å. Input: DFT lattice parameters and positions (PBE).
No peak broadening, texture or thermal motion is included.

Structure:
```
Mg6AlSnO8
1.0
4.3781 0.0000 0.0000
0.0000 4.3781 0.0000
0.0000 0.0000 9.2169
Mg Al Sn O
6 1 1 8
Direct
0.0000 0.0000 0.0000
0.0000 0.0000 0.5000
0.0000 0.5000 0.2403
0.0000 0.5000 0.7597
0.5000 0.0000 0.2403
0.5000 0.0000 0.7597
0.5000 0.5000 0.0000
0.5000 0.5000 0.5000
0.0000 0.0000 0.2458
0.0000 0.0000 0.7542
0.0000 0.5000 0.0000
0.0000 0.5000 0.5000
0.5000 0.0000 0.0000
0.5000 0.0000 0.5000
0.5000 0.5000 0.1934
0.5000 0.5000 0.8066
```

Principal peaks in the range 2θ from 10° to 80°, by angle:
| 2theta | intensity |
| --- | --- |
| 22.5 | 34 |
| 28.1 | 33 |
| 34.9 | 54 |
| 39.1 | 51 |
| 41.2 | 100 |
| 58.1 | 58 |

***

(10)
# LiAcReH6
Simulated powder diffraction line list, a wavelength of 1.5418 Å. Input: DFT lattice parameters and positions (PBE).
No peak broadening, texture or thermal motion is included.

Structure:
```
LiAcReH6
1.0
4.7588 0.0000 0.0000
0.0000 4.6772 0.0000
-2.2871 0.0000 4.1794
Li Ac Re H
1 1 1 6
Direct
0.0000 0.0000 0.0000
0.3362 0.5000 0.6624
0.6621 0.0000 0.3387
0.3574 0.2545 0.1646
0.3574 0.7455 0.1646
0.8174 0.2480 0.1801
0.8174 0.7520 0.1801
0.8344 0.2550 0.6431
0.8344 0.7450 0.6431
```

Principal peaks in the range 2θ from 10° to 80°, by angle:
| 2theta | intensity |
| --- | --- |
| 21.3 | 37 |
| 28.7 | 100 |
| 29.0 | 53 |
| 37.8 | 33 |
| 47.7 | 28 |
| 55.1 | 23 |

***

(11)
# LiSmPu2Te4
Simulated powder diffraction line list, a wavelength of 1.5418 Å. Input: DFT lattice parameters and positions (PBE).
No peak broadening, texture or thermal motion is included.

Structure:
```
LiSmPu2Te4
1.0
7.6404 0.0000 0.0000
0.0000 4.4239 0.0000
-2.6106 0.0000 7.2563
Li Sm Pu Te
1 1 2 4
Direct
0.0000 0.0000 0.0000
0.0000 0.5000 0.5000
0.5000 0.0000 0.5000
0.5000 0.5000 0.0000
0.2412 0.5000 0.2432
0.2464 0.0000 0.7553
0.7536 0.0000 0.2447
0.7588 0.5000 0.7568
```

Principal peaks in the range 2θ from 10° to 80°, by angle:
| 2theta | intensity |
| --- | --- |
| 12.3 | 23 |
| 28.4 | 51 |
| 28.6 | 100 |
| 40.6 | 39 |
| 40.9 | 77 |
| 50.5 | 21 |

***

(12)
# Pm8Er3Sc2
Simulated powder diffraction line list, a wavelength of 1.5418 Å. Input: DFT lattice parameters and positions (PBE).
No peak broadening, texture or thermal motion is included.

Structure:
```
Pm8Er3Sc2
1.0
9.8314 -3.8748 0.0000
9.8314 3.8748 0.0000
-0.0022 0.0000 5.6579
Pm Er Sc
8 3 2
Direct
0.0947 0.6852 0.9999
0.1782 0.1782 0.5007
0.3148 0.9053 0.0001
0.3678 0.3678 0.5003
0.6322 0.6322 0.4997
0.6852 0.0947 0.9999
0.8218 0.8218 0.4993
0.9053 0.3148 0.0001
0.2123 0.7877 0.5000
0.5000 0.5000 0.0000
0.7877 0.2123 0.5000
0.2606 0.2606 0.0009
0.7394 0.7394 0.9991
```

Principal peaks in the range 2θ from 10° to 80°, by angle:
| 2theta | intensity |
| --- | --- |
| 29.4 | 18 |
| 30.0 | 47 |
| 31.6 | 74 |
| 33.4 | 100 |
| 47.9 | 17 |
| 57.5 | 21 |

***

(13)
# BaCdRh
Simulated powder diffraction line list, a wavelength of 1.5418 Å. Input: DFT lattice parameters and positions (PBE).
No peak broadening, texture or thermal motion is included.

Structure:
```
BaCdRh
1.0
6.1600 0.0000 0.0000
0.0000 6.5553 0.0000
0.0000 0.0000 7.4459
Ba Cd Rh
4 4 4
Direct
0.0000 0.2500 0.0923
0.0000 0.7500 0.9077
0.5000 0.2500 0.4077
0.5000 0.7500 0.5923
0.0000 0.0000 0.5000
0.0000 0.5000 0.5000
0.5000 0.0000 0.0000
0.5000 0.5000 0.0000
0.2500 0.2500 0.7500
0.2500 0.7500 0.2500
0.7500 0.2500 0.7500
0.7500 0.7500 0.2500
```

Principal peaks in the range 2θ from 10° to 80°, by angle:
| 2theta | intensity |
| --- | --- |
| 31.2 | 34 |
| 33.2 | 100 |
| 34.4 | 57 |
| 37.9 | 51 |
| 38.8 | 36 |
| 65.1 | 26 |